Entry 1:
Diffraction record for Ni10Sn5P3. The powder diffraction line list is simulated, not measured: it uses a DFT-relaxed cell (GGA-PBE, the Materials Project) and λ = 1.5418 Å (Cu Kα).

Crystal structure
Cell: 6.4402 8.3638 10.3178 Å, 73.50 84.40 82.75°
Space group P-1 (No. 2)
Inequivalent atoms, fractional coordinates:
Ni  0.0000  0.0000  0.0000
Ni  0.0568  0.4317  0.1261
Ni  0.0568  0.7036  0.2030
Ni  0.1351  0.8650  0.3749
Ni  0.1435  0.3511  0.5480
Ni  0.2678  0.2126  0.9638
Ni  0.2900  0.7258  0.8011
Ni  0.3415  0.3967  0.3061
Ni  0.3973  0.6066  0.0682
Ni  0.4199  0.0829  0.2933
Ni  0.5000  0.5000  0.5000
Sn  0.0335  0.1843  0.3724
Sn  0.2071  0.0490  0.7591
Sn  0.2988  0.4486  0.7412
Sn  0.3517  0.9111  0.1306
Sn  0.4656  0.8184  0.5029
P  0.0777  0.7199  0.9831
P  0.1975  0.5939  0.3997
P  0.3912  0.3160  0.1140

Principal peaks in the range 2θ from 5° to 70°, by angle:
h k l, d/Å, 2θ/deg, Rel. int.
1 0 -3, 2.847, 31.42, 97
-2 1 1, 2.777, 32.23, 34
0 3 1, 2.763, 32.40, 82
0 2 -2, 2.754, 32.51, 39
1 -1 3, 2.569, 34.93, 37
2 3 3, 2.075, 43.61, 76
3 0 -1, 2.050, 44.17, 54
1 4 1, 2.042, 44.37, 100
1 3 -2, 2.037, 44.47, 58
-1 3 4, 1.936, 46.93, 66
1 0 5, 1.922, 47.31, 59
2 -3 1, 1.853, 49.18, 59

Entry 2:
Diffraction record for SrNi5P3. The powder diffraction line list is simulated, not measured: it uses a DFT-relaxed cell (GGA-PBE, the Materials Project) and λ = 1.5418 Å (Cu Kα).

Crystal structure
Cell: 3.6085 11.7487 11.6124 Å, 90.00 90.00 90.00°
Space group Cmcm (No. 63)
Inequivalent atoms, fractional coordinates:
Sr  0.0000  0.1618  0.2500
Ni  0.0000  0.0000  0.0000
Ni  0.0000  0.1979  0.5681
Ni  0.0000  0.4497  0.1451
P  0.0000  0.1154  0.7500
P  0.0000  0.3814  0.5371

Principal peaks in the range 2θ from 5° to 70°, by angle:
h k l, d/Å, 2θ/deg, Rel. int.
0 2 3, 3.232, 27.60, 36
0 4 1, 2.847, 31.42, 29
1 3 0, 2.654, 33.78, 56
1 1 3, 2.575, 34.84, 100
1 3 2, 2.414, 37.25, 56
1 1 4, 2.221, 40.62, 85
1 5 0, 1.969, 46.10, 41
1 5 2, 1.865, 48.84, 39
0 2 6, 1.838, 49.59, 35
2 0 0, 1.804, 50.59, 62
0 6 3, 1.747, 52.36, 29
1 3 6, 1.564, 59.08, 28

Entry 3:
Diffraction record for SrNi2P4. The powder diffraction line list is simulated, not measured: it uses a DFT-relaxed cell (GGA-PBE, the Materials Project) and λ = 1.5418 Å (Cu Kα).

Crystal structure
Cell: 5.1941 9.5589 18.9598 Å, 90.00 90.00 90.00°
Space group Fddd (No. 70, origin choice 2)
Inequivalent atoms, fractional coordinates:
Sr  0.1250  0.1250  0.1250
Ni  0.1250  0.1250  0.5054
P  0.0640  0.3180  0.5685

Principal peaks in the range 2θ from 5° to 70°, by angle:
h k l, d/Å, 2θ/deg, Rel. int.
1 1 3, 3.700, 24.05, 38
1 1 5, 2.917, 30.65, 100
1 3 1, 2.689, 33.33, 12
0 2 6, 2.636, 34.01, 15
2 0 2, 2.505, 35.85, 29
1 3 3, 2.495, 35.99, 43
0 4 0, 2.390, 37.64, 26
2 2 0, 2.282, 39.49, 19
1 3 5, 2.208, 40.87, 29
0 2 10, 1.762, 51.88, 17
0 4 8, 1.683, 54.53, 12
2 2 8, 1.644, 55.92, 61

Entry 4:
Diffraction record for Ta5Ni4P4. The powder diffraction line list is simulated, not measured: it uses a DFT-relaxed cell (GGA-PBE, the Materials Project) and λ = 1.5418 Å (Cu Kα).

Crystal structure
Cell: 9.9191 9.9191 3.5281 Å, 90.00 90.00 90.00°
Space group I4/m (No. 87)
Inequivalent atoms, fractional coordinates:
Ta  0.0000  0.0000  0.0000
Ta  0.1304  0.8053  0.5000
Ni  0.0875  0.3894  0.5000
P  0.0561  0.2584  0.0000

Principal peaks in the range 2θ from 5° to 70°, by angle:
h k l, d/Å, 2θ/deg, Rel. int.
1 1 0, 7.014, 12.62, 31
1 3 0, 3.137, 28.46, 22
1 2 1, 2.761, 32.42, 62
3 0 1, 2.413, 37.27, 100
3 3 0, 2.338, 38.51, 35
4 2 0, 2.218, 40.68, 46
3 2 1, 2.169, 41.63, 92
1 4 1, 1.988, 45.64, 31
1 5 0, 1.945, 46.69, 36
0 0 2, 1.764, 51.83, 28
4 5 1, 1.418, 65.85, 21
4 2 2, 1.381, 67.89, 20

Entry 5:
Diffraction record for Tb3Ni7P5. The powder diffraction line list is simulated, not measured: it uses a DFT-relaxed cell (GGA-PBE, the Materials Project) and λ = 1.5418 Å (Cu Kα).

Crystal structure
Cell: 16.3270 3.8164 16.3300 Å, 90.00 119.94 90.00°
Space group Pm (No. 6)
Inequivalent atoms, fractional coordinates:
Tb  0.0000  0.0000  0.0000
Tb  0.0276  0.5000  0.3248
Tb  0.0835  0.5000  0.5890
Tb  0.2030  0.0000  0.9402
Tb  0.2598  0.0000  0.2053
Tb  0.2878  0.5000  0.5300
Tb  0.4083  0.0000  0.8856
Tb  0.4678  0.0000  0.1486
Tb  0.5218  0.0000  0.4073
Tb  0.7643  0.5000  0.1203
Tb  0.8191  0.5000  0.3806
Tb  0.8798  0.5000  0.6431
Ni  0.0757  0.0000  0.2110
Ni  0.0900  0.5000  0.7785
Ni  0.1317  0.0000  0.4798
Ni  0.1555  0.5000  0.0498
Ni  0.1972  0.0000  0.7502
Ni  0.2103  0.5000  0.3179
Ni  0.2991  0.5000  0.7224
Ni  0.3404  0.0000  0.4187
Ni  0.3586  0.5000  0.9916
Ni  0.3928  0.0000  0.6914
Ni  0.4166  0.5000  0.2530
Ni  0.4654  0.5000  0.5193
Ni  0.5526  0.0000  0.8259
Ni  0.5754  0.5000  0.9423
Ni  0.5841  0.0000  0.6168
Ni  0.6007  0.0000  0.0679
Ni  0.6298  0.5000  0.1979
Ni  0.6577  0.0000  0.3323
Ni  0.6852  0.5000  0.4616
Ni  0.7170  0.0000  0.5870
Ni  0.7305  0.5000  0.7054
Ni  0.7914  0.0000  0.8528
Ni  0.8212  0.0000  0.0151
Ni  0.8703  0.0000  0.2764
Ni  0.8949  0.5000  0.8382
Ni  0.9288  0.0000  0.5380
Ni  0.9461  0.5000  0.1098
Ni  0.9885  0.0000  0.8067
P  0.0343  0.0000  0.6914
P  0.0522  0.5000  0.8960
P  0.1077  0.5000  0.1553
P  0.1799  0.0000  0.3744
P  0.2353  0.0000  0.6335
P  0.2530  0.5000  0.8383
P  0.3102  0.5000  0.0981
P  0.3664  0.5000  0.3566
P  0.4367  0.0000  0.5809
P  0.4622  0.5000  0.7845
P  0.5125  0.5000  0.0418
P  0.5698  0.5000  0.3007
P  0.6191  0.5000  0.5584
P  0.6666  0.0000  0.9714
P  0.7167  0.0000  0.2283
P  0.7750  0.0000  0.4875
P  0.8267  0.0000  0.7416
P  0.8449  0.5000  0.9475
P  0.9204  0.0000  0.1728
P  0.9767  0.0000  0.4314

Principal peaks in the range 2θ from 5° to 70°, by angle:
h k l, d/Å, 2θ/deg, Rel. int.
1 0 -1, 14.144, 6.25, 14
1 0 3, 3.923, 22.66, 12
5 0 -1, 3.087, 28.93, 13
4 1 -4, 2.594, 34.58, 12
5 1 -2, 2.472, 36.34, 21
1 1 4, 2.400, 37.47, 100
7 0 -5, 2.265, 39.80, 13
5 0 3, 2.021, 44.85, 9
6 0 2, 1.962, 46.28, 13
0 2 0, 1.908, 47.66, 21
3 0 -9, 1.782, 51.26, 17
2 1 7, 1.574, 58.64, 17

Entry 6:
Diffraction record for Ti2NiP5. The powder diffraction line list is simulated, not measured: it uses a DFT-relaxed cell (GGA-PBE, the Materials Project) and λ = 1.5418 Å (Cu Kα).

Crystal structure
Cell: 11.1290 3.3374 12.4436 Å, 90.00 90.00 90.00°
Space group Pnma (No. 62)
Inequivalent atoms, fractional coordinates:
Ti  0.0968  0.2500  0.2344
Ti  0.1561  0.7500  0.9016
Ni  0.1542  0.7500  0.6723
P  0.0625  0.7500  0.5182
P  0.0673  0.2500  0.0356
P  0.0727  0.2500  0.7705
P  0.1762  0.7500  0.3739
P  0.2179  0.7500  0.1127

Principal peaks in the range 2θ from 5° to 70°, by angle:
h k l, d/Å, 2θ/deg, Rel. int.
0 1 1, 3.224, 27.67, 26
2 1 0, 2.862, 31.25, 20
4 0 0, 2.782, 32.17, 25
2 0 4, 2.715, 32.99, 62
3 1 1, 2.433, 36.95, 32
4 1 0, 2.137, 42.29, 58
2 1 4, 2.106, 42.94, 100
1 1 5, 1.964, 46.23, 36
5 0 4, 1.810, 50.41, 23
5 1 3, 1.692, 54.22, 26
0 2 0, 1.669, 55.03, 34
6 0 4, 1.593, 57.88, 18